The following is a simulated powder diffractogram of Al2Hg3Cl8. It was derived from DFT lattice parameters and positions (GGA-PBE), using CuKα.
Intensities are scaled so that the largest is 1000.

Unit cell a=7.219 b=15.283 c=14.356 alpha=90.00 beta=99.46 gamma=90.00
Sites, in units of the cell vectors:
Al (0.101, 0.182, 0.095)
Al (0.101, 0.318, 0.595)
Al (0.306, 0.603, 0.776)
Al (0.306, 0.897, 0.276)
Al (0.694, 0.103, 0.724)
Al (0.694, 0.397, 0.224)
Al (0.899, 0.682, 0.405)
Al (0.899, 0.818, 0.905)
Hg (0.128, 0.524, 0.198)
Hg (0.128, 0.976, 0.698)
Hg (0.312, 0.638, 0.109)
Hg (0.312, 0.862, 0.609)
Hg (0.492, 0.738, 0.533)
Hg (0.492, 0.762, 0.033)
Hg (0.508, 0.238, 0.967)
Hg (0.508, 0.262, 0.467)
Hg (0.688, 0.138, 0.391)
Hg (0.688, 0.362, 0.891)
Hg (0.872, 0.024, 0.302)
Hg (0.872, 0.476, 0.802)
Cl (0.017, 0.590, 0.699)
Cl (0.017, 0.910, 0.199)
Cl (0.095, 0.185, 0.544)
Cl (0.095, 0.315, 0.044)
Cl (0.151, 0.610, 0.454)
Cl (0.151, 0.890, 0.954)
Cl (0.177, 0.172, 0.245)
Cl (0.177, 0.328, 0.745)
Cl (0.319, 0.114, 0.029)
Cl (0.319, 0.386, 0.529)
Cl (0.325, 0.522, 0.901)
Cl (0.325, 0.978, 0.401)
Cl (0.348, 0.739, 0.810)
Cl (0.348, 0.761, 0.310)
Cl (0.496, 0.564, 0.685)
Cl (0.496, 0.936, 0.185)
Cl (0.504, 0.064, 0.815)
Cl (0.504, 0.436, 0.315)
Cl (0.652, 0.239, 0.690)
Cl (0.652, 0.261, 0.190)
Cl (0.675, 0.022, 0.599)
Cl (0.675, 0.478, 0.099)
Cl (0.681, 0.614, 0.471)
Cl (0.681, 0.886, 0.971)
Cl (0.823, 0.672, 0.255)
Cl (0.823, 0.828, 0.755)
Cl (0.849, 0.110, 0.046)
Cl (0.849, 0.390, 0.546)
Cl (0.905, 0.685, 0.956)
Cl (0.905, 0.815, 0.456)
Cl (0.983, 0.090, 0.801)
Cl (0.983, 0.410, 0.301)

The 8 most intense peaks (15 to 90 degrees two-theta), low angle first:
(0 2 2), 2θ 17.05, intensity 1000; (1 0 2), 2θ 19.07, intensity 512; (0 1 3), 2θ 19.68, intensity 198; (1 3 -3), 2θ 27.25, intensity 430; (1 4 -2), 2θ 28.46, intensity 207; (1 1 4), 2θ 30.56, intensity 228; (2 2 2), 2θ 32.14, intensity 215; (2 4 -2), 2θ 35.28, intensity 335